Diffraction record for Mn2TlF. The powder diffraction line list is simulated, not measured: it uses a DFT-relaxed cell (GGA+U, Alexandria) and Cu Kα X-rays.

Cell and atoms:
abc: 5.9695 5.9695 5.9695
angles: 109.52 109.52 109.38
Element x y z (fractional)
Mn 0.0420 0.6250 0.9170
Mn 0.3750 0.2920 0.4170
Mn 0.7080 0.1250 0.0830
Mn 0.8750 0.9580 0.5830
Tl 0.2500 0.7500 0.5000
Tl 0.5000 0.5000 0.0000
F 0.0000 0.0000 0.0000
F 0.7500 0.2500 0.5000

Largest 8 diffraction maxima, by angle, 10° ≤ 2θ ≤ 90°:
| d/Å | Position (°2θ) | intensity |
| --- | --- | --- |
| 4.875 | 18.20 | 32.4 |
| 3.445 | 25.87 | 13.6 |
| 2.815 | 31.79 | 100.0 |
| 2.436 | 36.90 | 23.6 |
| 2.180 | 41.42 | 26.5 |
| 1.842 | 49.48 | 37.3 |
| 1.542 | 60.00 | 21.0 |
| 1.470 | 63.28 | 15.0 |